For CaPdSe2O6, a crystal structure in Alexandria, relaxed with PBE gives the calculated powder diffraction line list in this record (Cu Kα (weighted mean of Kα1 and Kα2)).
Lines closer than 0.1° are merged.

Top 12 peaks for 2θ = 15–90°, by intensity:
(1 0 4), 28.71 deg, I = 100; (1 1 0), 32.61 deg, I = 67; (0 1 5), 33.12 deg, I = 39; (1 0 1), 19.43 deg, I = 35; (3 0 0), 58.19 deg, I = 26; (3 -1 4), 55.82 deg, I = 24; (0 2 4), 43.99 deg, I = 23; (2 -1 9), 60.91 deg, I = 18; (3 -2 5), 58.52 deg, I = 16; (1 1 6), 46.84 deg, I = 15; (2 0 5), 47.17 deg, I = 15; (1 3 4), 75.73 deg, I = 12

Crystal structure
a = 5.4917 Å, b = 5.4917 Å, c = 16.4402 Å
α = 90.00°, β = 90.00°, γ = 120.00°
Space group R-3 (No. 148, hexagonal axes)
Symmetry-distinct sites (fractional):
Ca: 0.0000 0.0000 0.0000
Pd: 0.0000 0.0000 0.5000
Se: 0.0000 0.0000 0.2844
O: 0.0004 0.2958 0.7555